Diffraction record for Na3MgAlSi7O18. The powder diffraction line list is calculated, not measured: it uses a structure optimized by DFT (PBE) and CuKα.
No peak broadening, texture or thermal motion is included.

Most intense lines, 10 to 80 degrees two-theta, most intense first:
| 2θ/deg | Rel. int. | index |
| --- | --- | --- |
| 30.18 | 100.0 | 4 2 1 |
| 31.32 | 43.7 | 9 1 0 |
| 35.51 | 39.2 | 4 0 -2 |
| 36.80 | 33.2 | 8 2 -1 |
| 31.18 | 27.7 | 7 1 1 |
| 41.28 | 26.3 | 7 1 -2 |
| 57.99 | 19.9 | 13 3 1 |
| 45.50 | 19.9 | 2 4 -1 |
| 20.47 | 19.7 | 0 2 0 |
| 35.62 | 18.4 | 1 3 1 |

Structural model:
```
data_Na3MgAlSi7O18
_space_group_name_H-M_alt 'C 1 2 1'
_space_group_IT_number 5
_space_group_name_Hall 'C 2y'
_cell_length_a 27.282
_cell_length_b 8.678
_cell_length_c 5.313
_cell_angle_alpha 90.00
_cell_angle_beta 93.86
_cell_angle_gamma 90.00
loop_
_atom_site_label
_atom_site_type_symbol
_atom_site_fract_x
_atom_site_fract_y
_atom_site_fract_z
_atom_site_occupancy
Na1 Na 0.000 0.000 0.000 1
Na2 Na 0.000 0.403 0.500 1
Na3 Na 0.166 0.907 0.832 1
Na4 Na 0.168 0.505 0.337 1
Mg1 Mg 0.166 0.110 0.333 1
Al1 Al 0.000 0.608 0.000 1
Al2 Al 0.000 0.799 0.500 1
Si1 Si 0.070 0.114 0.624 1
Si2 Si 0.070 0.300 0.111 1
Si3 Si 0.096 0.792 0.215 1
Si4 Si 0.098 0.608 0.716 1
Si5 Si 0.167 0.299 0.833 1
Si6 Si 0.236 0.613 0.954 1
Si7 Si 0.237 0.798 0.444 1
O1 O 0.035 0.773 0.198 1
O2 O 0.037 0.623 0.694 1
O3 O 0.046 0.213 0.855 1
O4 O 0.046 0.468 0.135 1
O5 O 0.046 0.944 0.633 1
O6 O 0.053 0.204 0.359 1
O7 O 0.116 0.963 0.193 1
O8 O 0.118 0.691 0.981 1
O9 O 0.118 0.706 0.477 1
O10 O 0.125 0.440 0.695 1
O11 O 0.130 0.139 0.672 1
O12 O 0.131 0.294 0.109 1
O13 O 0.202 0.289 0.559 1
O14 O 0.204 0.139 0.002 1
O15 O 0.210 0.443 0.970 1
O16 O 0.214 0.712 0.186 1
O17 O 0.216 0.966 0.475 1
O18 O 0.219 0.696 0.685 1
```

=====

Diffraction record for CsU3F10. The powder diffraction line list is calculated, not measured: it uses a structure optimized by DFT (PBE) and CuKα.
No peak broadening, texture or thermal motion is included.

Most intense lines, 10 to 80 degrees two-theta, most intense first:
| 2θ/deg | Rel. int. | index |
| --- | --- | --- |
| 25.00 | 100.0 | 2 2 2 |
| 48.97 | 58.2 | 6 2 2 |
| 41.40 | 48.3 | 4 4 0 |
| 28.95 | 47.3 | 4 0 0 |
| 66.01 | 22.5 | 6 6 2 |
| 75.50 | 17.8 | 8 4 4 |
| 67.96 | 17.6 | 8 4 0 |
| 51.30 | 14.4 | 4 4 4 |
| 59.98 | 8.2 | 8 0 0 |
| 20.36 | 6.1 | 2 2 0 |

Structural model:
```
data_CsU3F10
_space_group_name_H-M_alt 'F m -3 m'
_space_group_IT_number 225
_space_group_name_Hall '-F 4 2 3'
_cell_length_a 12.338
_cell_length_b 12.338
_cell_length_c 12.338
_cell_angle_alpha 90.00
_cell_angle_beta 90.00
_cell_angle_gamma 90.00
loop_
_atom_site_label
_atom_site_type_symbol
_atom_site_fract_x
_atom_site_fract_y
_atom_site_fract_z
_atom_site_occupancy
Cs1 Cs 0.250 0.250 0.250 1
U1 U 0.000 0.000 0.243 1
F1 F 0.000 0.169 0.331 1
F2 F 0.110 0.110 0.110 1
```

=====

Diffraction record for Rb2ReF7. The powder diffraction line list is calculated, not measured: it uses a structure optimized by DFT (PBE) and CuKα.
No peak broadening, texture or thermal motion is included.

Most intense lines, 10 to 80 degrees two-theta, most intense first:
| 2θ/deg | Rel. int. | index |
| --- | --- | --- |
| 23.62 | 100.0 | 3 1 -1 |
| 29.25 | 92.2 | 3 1 -3 |
| 23.08 | 73.7 | 0 0 2 |
| 15.85 | 59.4 | 1 1 -1 |
| 16.71 | 31.3 | 2 0 0 |
| 36.87 | 30.9 | 3 1 1 |
| 40.15 | 29.3 | 6 0 -4 |
| 23.90 | 26.7 | 3 1 -2 |
| 35.65 | 24.4 | 0 2 2 |
| 47.05 | 22.6 | 6 2 -3 |

Structural model:
```
data_Rb2ReF7
_space_group_name_H-M_alt 'C 1 2/c 1'
_space_group_IT_number 15
_space_group_name_Hall '-C 2yc'
_cell_length_a 14.222
_cell_length_b 6.657
_cell_length_c 10.331
_cell_angle_alpha 90.00
_cell_angle_beta 131.76
_cell_angle_gamma 90.00
loop_
_atom_site_label
_atom_site_type_symbol
_atom_site_fract_x
_atom_site_fract_y
_atom_site_fract_z
_atom_site_occupancy
Rb1 Rb 0.157 0.160 0.236 1
Re1 Re 0.000 0.305 0.750 1
F1 F 0.000 0.397 0.250 1
F2 F 0.076 0.061 0.901 1
F3 F 0.109 0.304 0.696 1
F4 F 0.144 0.395 0.987 1
```

=====

Diffraction record for Sr2AcAg9. The powder diffraction line list is calculated, not measured: it uses a structure optimized by DFT (PBE) and CuKα.
No peak broadening, texture or thermal motion is included.

Most intense lines, 10 to 80 degrees two-theta, most intense first:
| 2θ/deg | Rel. int. | index |
| --- | --- | --- |
| 35.97 | 100.0 | 1 1 6 |
| 35.49 | 26.8 | 0 2 1 |
| 57.80 | 25.7 | 3 0 6 |
| 37.81 | 21.9 | 0 0 12 |
| 30.49 | 21.7 | 1 1 0 |
| 63.46 | 19.3 | 2 2 0 |
| 28.07 | 17.0 | 1 0 7 |
| 38.81 | 16.8 | 2 0 5 |
| 30.62 | 16.6 | 0 1 8 |
| 76.30 | 15.8 | 2 2 12 |

Structural model:
```
data_Sr2AcAg9
_space_group_name_H-M_alt 'R -3 m'
_space_group_IT_number 166
_space_group_name_Hall '-R 3 2"'
_cell_length_a 5.8638
_cell_length_b 5.8638
_cell_length_c 28.5503
_cell_angle_alpha 90.00
_cell_angle_beta 90.00
_cell_angle_gamma 120.00
loop_
_atom_site_label
_atom_site_type_symbol
_atom_site_fract_x
_atom_site_fract_y
_atom_site_fract_z
_atom_site_occupancy
Sr1 Sr 0.0000 0.0000 0.1424 1
Ac1 Ac 0.0000 0.0000 0.0000 1
Ag1 Ag 0.0000 0.0000 0.3325 1
Ag2 Ag 0.0000 0.0000 0.5000 1
Ag3 Ag 0.0004 0.5002 0.0822 1
```

=====

Diffraction record for CaPr2ThSb4. The powder diffraction line list is calculated, not measured: it uses a structure optimized by DFT (PBE) and CuKα.
No peak broadening, texture or thermal motion is included.

Most intense lines, 10 to 80 degrees two-theta, most intense first:
| 2θ/deg | Rel. int. | index |
| --- | --- | --- |
| 27.72 | 100.0 | 1 1 1 |
| 39.62 | 76.8 | 2 0 2 |
| 27.82 | 49.5 | 2 0 -2 |
| 39.73 | 38.1 | 3 1 -1 |
| 49.06 | 31.0 | 2 2 -2 |
| 64.78 | 26.7 | 1 3 1 |
| 71.87 | 19.6 | 3 3 -1 |
| 64.91 | 17.7 | 4 2 0 |
| 57.26 | 13.0 | 2 2 2 |
| 11.95 | 10.6 | 1 0 0 |

Structural model:
```
data_CaPr2ThSb4
_space_group_name_H-M_alt 'P 1 2/m 1'
_space_group_IT_number 10
_space_group_name_Hall '-P 2y'
_cell_length_a 7.849
_cell_length_b 4.554
_cell_length_c 7.874
_cell_angle_alpha 90.00
_cell_angle_beta 109.32
_cell_angle_gamma 90.00
loop_
_atom_site_label
_atom_site_type_symbol
_atom_site_fract_x
_atom_site_fract_y
_atom_site_fract_z
_atom_site_occupancy
Ca1 Ca 0.000 0.000 0.000 1
Pr1 Pr 0.000 0.500 0.500 1
Pr2 Pr 0.500 0.000 0.500 1
Th1 Th 0.500 0.500 0.000 1
Sb1 Sb 0.252 0.000 0.754 1
Sb2 Sb 0.252 0.500 0.247 1
```

=====

Diffraction record for La2CeSmTl4. The powder diffraction line list is calculated, not measured: it uses a structure optimized by DFT (PBE) and CuKα.
No peak broadening, texture or thermal motion is included.

Most intense lines, 10 to 80 degrees two-theta, most intense first:
| 2θ/deg | Rel. int. | index |
| --- | --- | --- |
| 32.13 | 100.0 | 1 1 0 |
| 57.27 | 39.2 | 3 0 0 |
| 46.07 | 18.6 | 2 0 8 |
| 76.44 | 16.9 | 3 1 8 |
| 67.20 | 12.1 | 2 2 0 |
| 22.57 | 3.4 | 1 0 4 |
| 51.89 | 1.7 | 2 1 4 |
| 39.62 | 1.2 | 0 2 4 |
| 71.86 | 0.5 | 3 0 12 |

Structural model:
```
data_La2CeSmTl4
_space_group_name_H-M_alt 'R -3 m'
_space_group_IT_number 166
_space_group_name_Hall '-R 3 2"'
_cell_length_a 5.5696
_cell_length_b 5.5696
_cell_length_c 27.3265
_cell_angle_alpha 90.00
_cell_angle_beta 90.00
_cell_angle_gamma 120.00
loop_
_atom_site_label
_atom_site_type_symbol
_atom_site_fract_x
_atom_site_fract_y
_atom_site_fract_z
_atom_site_occupancy
La1 La 0.0000 0.0000 0.2504 1
Ce1 Ce 0.0000 0.0000 0.5000 1
Sm1 Sm 0.0000 0.0000 0.0000 1
Tl1 Tl 0.0000 0.0000 0.1246 1
Tl2 Tl 0.0000 0.0000 0.3746 1
```

=====

Diffraction record for Li2PaTlSe4. The powder diffraction line list is calculated, not measured: it uses a structure optimized by DFT (PBE) and CuKα.
No peak broadening, texture or thermal motion is included.

Most intense lines, 10 to 80 degrees two-theta, most intense first:
| 2θ/deg | Rel. int. | index |
| --- | --- | --- |
| 17.24 | 100.0 | 1 1 0 |
| 28.12 | 89.1 | 1 1 2 |
| 33.17 | 79.2 | 2 0 2 |
| 34.90 | 52.6 | 2 2 0 |
| 45.40 | 49.7 | 3 1 2 |
| 61.48 | 24.4 | 4 2 2 |
| 39.17 | 22.6 | 3 1 0 |
| 48.49 | 20.4 | 1 1 4 |
| 61.12 | 20.0 | 3 1 4 |
| 51.85 | 19.8 | 2 0 4 |

Structural model:
```
data_Li2PaTlSe4
_space_group_name_H-M_alt 'I -4 2 m'
_space_group_IT_number 121
_space_group_name_Hall 'I -4 2'
_cell_length_a 7.272
_cell_length_b 7.272
_cell_length_c 8.066
_cell_angle_alpha 90.00
_cell_angle_beta 90.00
_cell_angle_gamma 90.00
loop_
_atom_site_label
_atom_site_type_symbol
_atom_site_fract_x
_atom_site_fract_y
_atom_site_fract_z
_atom_site_occupancy
Li1 Li 0.000 0.500 0.250 1
Pa1 Pa 0.000 0.000 0.000 1
Tl1 Tl 0.000 0.000 0.500 1
Se1 Se 0.224 0.224 0.173 1
```

=====

Diffraction record for K2SbPCO7. The powder diffraction line list is calculated, not measured: it uses a structure optimized by DFT (PBE) and CuKα.
No peak broadening, texture or thermal motion is included.

Most intense lines, 10 to 80 degrees two-theta, most intense first:
| 2θ/deg | Rel. int. | index |
| --- | --- | --- |
| 30.50 | 100.0 | 1 2 -1 |
| 22.11 | 84.4 | 1 0 -2 |
| 15.61 | 79.1 | 0 1 1 |
| 19.12 | 66.0 | 1 1 0 |
| 25.63 | 63.7 | 0 2 0 |
| 16.22 | 62.4 | 1 0 -1 |
| 31.73 | 58.6 | 1 0 3 |
| 27.19 | 55.2 | 0 2 1 |
| 31.15 | 43.3 | 1 2 1 |
| 23.84 | 42.8 | 1 0 2 |

Structural model:
```
data_K2SbPCO7
_space_group_name_H-M_alt 'P 1 21/m 1'
_space_group_IT_number 11
_space_group_name_Hall '-P 2yb'
_cell_length_a 6.259
_cell_length_b 6.947
_cell_length_c 9.887
_cell_angle_alpha 90.00
_cell_angle_beta 94.37
_cell_angle_gamma 90.00
loop_
_atom_site_label
_atom_site_type_symbol
_atom_site_fract_x
_atom_site_fract_y
_atom_site_fract_z
_atom_site_occupancy
K1 K 0.223 0.009 0.275 1
Sb1 Sb 0.337 0.250 0.882 1
P1 P 0.269 0.750 0.904 1
C1 C 0.255 0.250 0.611 1
O1 O 0.028 0.750 0.876 1
O2 O 0.090 0.250 0.685 1
O3 O 0.249 0.250 0.485 1
O4 O 0.328 0.750 0.066 1
O5 O 0.383 0.570 0.847 1
O6 O 0.445 0.250 0.687 1
```